Simulated powder X-ray diffraction pattern
Compound: Ca2In2AgPd5
Radiation: Cu Kα (weighted mean of Kα1 and Kα2)
Structure: DFT lattice parameters and positions (PBE)
No peak broadening, texture or thermal motion is included.

Largest 10 diffraction maxima, low angle first, 2θ from 10° to 80°:
h k l  2θ/deg  I_rel
2 0 0  17.33  13
2 1 0  19.40  34
2 2 1  34.06  15
4 1 0  36.20  21
3 1 1  36.32  100
4 2 0  39.38  11
3 2 1  39.50  39
4 0 1  42.47  11
4 1 1  43.43  12
0 0 2  47.39  20

Structural model:
```
data_Ca2In2AgPd5
_cell_length_a 10.2316
_cell_length_b 10.2316
_cell_length_c 3.8369
_cell_angle_alpha 90.00
_cell_angle_beta 90.00
_cell_angle_gamma 90.00
_symmetry_space_group_name_H-M 'P 4/m b m'
_symmetry_Int_Tables_number 127
_symmetry_space_group_name_Hall '-P 4 2ab'
loop_
_atom_site_label
_atom_site_type_symbol
_atom_site_fract_x
_atom_site_fract_y
_atom_site_fract_z
_atom_site_occupancy
Ca1 Ca 0.1721 0.3279 0.0000 1
In1 In 0.1279 0.6279 0.0000 1
Ag1 Ag 0.0000 0.0000 0.0000 1
Pd1 Pd 0.0000 0.5000 0.5000 1
Pd2 Pd 0.0627 0.8048 0.5000 1
```

---

Simulated powder X-ray diffraction pattern
Compound: AlTl
Radiation: Cu Kα (weighted mean of Kα1 and Kα2)
Structure: DFT lattice parameters and positions (PBE)
No peak broadening, texture or thermal motion is included.

Largest 10 diffraction maxima, low angle first, 2θ from 10° to 80°:
h k l  2θ/deg  I_rel
1 0 1  21.37  20
1 1 1  26.26  100
0 0 2  30.40  83
2 1 0  34.13  35
2 0 2  43.54  46
2 1 2  46.33  33
3 0 1  49.02  20
1 1 3  51.55  30
4 1 0  65.50  19
4 1 2  73.87  27

Structural model:
```
data_AlTl
_cell_length_a 5.8748
_cell_length_b 5.8748
_cell_length_c 5.8862
_cell_angle_alpha 90.00
_cell_angle_beta 90.00
_cell_angle_gamma 90.00
_symmetry_space_group_name_H-M 'P 42/m n m'
_symmetry_Int_Tables_number 136
_symmetry_space_group_name_Hall '-P 4n 2n'
loop_
_atom_site_label
_atom_site_type_symbol
_atom_site_fract_x
_atom_site_fract_y
_atom_site_fract_z
_atom_site_occupancy
Al1 Al 0.1881 0.1881 0.0000 1
Tl1 Tl 0.1996 0.1996 0.5000 1
```

---

Simulated powder X-ray diffraction pattern
Compound: Al3H7O
Radiation: Cu Kα (weighted mean of Kα1 and Kα2)
Structure: DFT lattice parameters and positions (PBE)
No peak broadening, texture or thermal motion is included.

Largest 10 diffraction maxima, low angle first, 2θ from 10° to 80°:
h k l  2θ/deg  I_rel
0 0 1  18.04  100
2 0 -1  19.03  17
1 1 0  20.51  31
1 1 -1  21.46  14
2 2 -1  38.40  13
4 0 -2  38.61  9
2 2 0  41.72  22
4 0 -3  44.89  10
2 2 1  52.35  12
2 2 -4  72.25  8

Structural model:
```
data_Al3H7O
_cell_length_a 9.3904
_cell_length_b 5.4230
_cell_length_c 6.4183
_cell_angle_alpha 90.00
_cell_angle_beta 130.01
_cell_angle_gamma 90.00
_symmetry_space_group_name_H-M 'C 1 m 1'
_symmetry_Int_Tables_number 8
loop_
_symmetry_equiv_pos_as_xyz
'x,y,z'
'x,-y,z'
'x+1/2,y+1/2,z'
'x+1/2,-y+1/2,z'
loop_
_atom_site_label
_atom_site_type_symbol
_atom_site_fract_x
_atom_site_fract_y
_atom_site_fract_z
_atom_site_occupancy
Al1 Al 0.0000 0.0000 0.0000 1
Al2 Al 0.2449 0.2440 0.0026 1
H1 H 0.1088 0.5000 0.8358 1
H2 H 0.1746 0.2283 0.2018 1
H3 H 0.3302 0.2776 0.8343 1
H4 H 0.4045 0.0000 0.2037 1
H5 H 0.4230 0.5000 0.2119 1
O1 O 0.0726 0.0000 0.7939 1
```

---

Simulated powder X-ray diffraction pattern
Compound: Ag2SnTe2S
Radiation: Cu Kα (weighted mean of Kα1 and Kα2)
Structure: DFT lattice parameters and positions (PBE)
No peak broadening, texture or thermal motion is included.

Largest 10 diffraction maxima, low angle first, 2θ from 10° to 80°:
h k l  2θ/deg  I_rel
3 1 0  22.91  99
0 2 0  23.35  61
0 0 2  24.75  100
3 1 1  26.08  65
3 1 2  33.98  38
6 0 0  39.97  47
3 3 0  40.78  90
3 1 3  44.41  89
0 2 3  44.66  42
3 3 2  48.29  59

Structural model:
```
data_Ag2SnTe2S
_cell_length_a 13.5338
_cell_length_b 7.6181
_cell_length_c 7.1934
_cell_angle_alpha 90.00
_cell_angle_beta 90.00
_cell_angle_gamma 90.00
_symmetry_space_group_name_H-M 'C m c 21'
_symmetry_Int_Tables_number 36
loop_
_symmetry_equiv_pos_as_xyz
'x,y,z'
'-x,-y,z+1/2'
'-x,y,z'
'x,-y,z+1/2'
'x+1/2,y+1/2,z'
'-x+1/2,-y+1/2,z+1/2'
'-x+1/2,y+1/2,z'
'x+1/2,-y+1/2,z+1/2'
loop_
_atom_site_label
_atom_site_type_symbol
_atom_site_fract_x
_atom_site_fract_y
_atom_site_fract_z
_atom_site_occupancy
Ag1 Ag 0.1487 0.1776 0.0000 1
Sn1 Sn 0.0000 0.3432 0.5050 1
Te1 Te 0.1682 0.1728 0.3854 1
S1 S 0.0000 0.3492 0.8668 1
```